Starting from the PBE+U geometry in Alexandria, the X-ray diffraction stick pattern of Li4Ti3Cr5O16 was computed for copper Kα.

Largest 10 diffraction maxima, by angle, 2θ = 5–70°:
- 2θ = 18.55°, intensity 56.1
- 2θ = 19.68°, intensity 100.0
- 2θ = 25.48°, intensity 28.0
- 2θ = 33.09°, intensity 25.7
- 2θ = 35.69°, intensity 35.0
- 2θ = 36.34°, intensity 34.7
- 2θ = 39.95°, intensity 35.2
- 2θ = 45.43°, intensity 50.1
- 2θ = 60.34°, intensity 21.0
- 2θ = 63.02°, intensity 26.3

Cell and atoms:
```
Li4Ti3Cr5O16
1.0
5.1046 -2.9592 0.0000
5.1046 2.9592 0.0000
-0.0382 0.0000 9.5666
Li Ti Cr O
4 3 5 16
direct
0.0000 0.0000 0.0000
0.0065 0.0065 0.5037
0.3353 0.3353 0.4006
0.6695 0.6695 0.8979
0.1736 0.1736 0.7232
0.3403 0.8352 0.2187
0.8352 0.3403 0.2187
0.1720 0.6648 0.7150
0.3398 0.3398 0.9886
0.6648 0.1720 0.7150
0.6694 0.6694 0.4910
0.8330 0.8330 0.2191
0.0043 0.0043 0.8145
0.0050 0.0050 0.3175
0.0432 0.4822 0.8452
0.1687 0.1687 0.1096
0.1750 0.6774 0.1074
0.3315 0.3315 0.6074
0.3327 0.8398 0.6079
0.4822 0.0432 0.8452
0.4817 0.4817 0.8397
0.5189 0.9623 0.3459
0.5231 0.5231 0.3439
0.6652 0.6652 0.1086
0.6774 0.1750 0.1074
0.8384 0.8384 0.6111
0.8398 0.3327 0.6079
0.9623 0.5189 0.3459
```